1.
This entry pairs a crystal structure of Rb3CrF6 with its computed powder X-ray diffraction pattern. Radiation: Cu Kα X-rays. Structure: a crystal structure in the Materials Project, relaxed with PBE+U.

Cell and atoms:
Lattice parameters (Å, degrees): 6.5108 6.5108 6.5108 60.00 60.00 60.00
Fractional coordinates of all 10 atoms:
Rb (0.0000, 0.0000, 0.0000)
Rb (0.2500, 0.2500, 0.2500)
Rb (0.7500, 0.7500, 0.7500)
Cr (0.5000, 0.5000, 0.5000)
F (0.2884, 0.2884, 0.7116)
F (0.2884, 0.7116, 0.2884)
F (0.2884, 0.7116, 0.7116)
F (0.7116, 0.2884, 0.2884)
F (0.7116, 0.2884, 0.7116)
F (0.7116, 0.7116, 0.2884)

Top 10 peaks for 10° ≤ 2θ ≤ 90°, by intensity:
2θ 27.40, rel. 100
2θ 39.13, rel. 40
2θ 48.43, rel. 36
2θ 56.54, rel. 23
2θ 77.59, rel. 22
2θ 63.95, rel. 21
2θ 33.72, rel. 9
2θ 70.91, rel. 7
2θ 42.81, rel. 4
2θ 84.11, rel. 3

---

2.
This entry pairs a crystal structure of V3O4F4 with its computed powder X-ray diffraction pattern. Radiation: Cu Kα X-rays. Structure: a crystal structure in the Materials Project, relaxed with PBE+U.

Cell and atoms:
Lattice parameters (Å, degrees): 4.7912 2.9999 9.6741 90.00 90.67 90.00
Fractional coordinates of all 11 atoms:
V (0.0000, 0.0000, 0.0000)
V (0.0864, 0.5000, 0.7328)
V (0.5134, 0.5000, 0.2242)
O (0.2071, 0.5000, 0.0889)
O (0.2435, 0.0000, 0.8358)
O (0.6945, 0.0000, 0.1317)
O (0.8366, 0.5000, 0.8963)
F (0.3042, 0.0000, 0.3084)
F (0.3269, 0.5000, 0.5965)
F (0.7433, 0.5000, 0.3684)
F (0.8616, 0.0000, 0.6564)

Top 10 peaks for 10° ≤ 2θ ≤ 90°, by intensity:
2θ 20.79, rel. 100
2θ 20.59, rel. 63
2θ 40.17, rel. 46
2θ 18.34, rel. 32
2θ 35.23, rel. 32
2θ 33.31, rel. 26
2θ 36.48, rel. 23
2θ 52.59, rel. 21
2θ 18.52, rel. 20
2θ 33.69, rel. 19

---

3.
This entry pairs a crystal structure of Sr6Ca2Mn3Fe5O24 with its computed powder X-ray diffraction pattern. Radiation: Cu Kα X-rays. Structure: a crystal structure in the Materials Project, relaxed with PBE+U.

Cell and atoms:
Lattice parameters (Å, degrees): 7.7742 7.7694 7.7941 90.00 90.01 90.00
Fractional coordinates of all 40 atoms:
Sr (0.2503, 0.0000, 0.2490)
Sr (0.2503, 0.0000, 0.7510)
Sr (0.2503, 0.5006, 0.2489)
Sr (0.7497, 0.0000, 0.2490)
Sr (0.7497, 0.0000, 0.7510)
Sr (0.7497, 0.5006, 0.7511)
Ca (0.2504, 0.5008, 0.7515)
Ca (0.7496, 0.5008, 0.2485)
Mn (0.0000, 0.7490, 0.0000)
Mn (0.5000, 0.2516, 0.0000)
Mn (0.5000, 0.7493, 0.0000)
Fe (0.0000, 0.2517, 0.0000)
Fe (0.0000, 0.2517, 0.5000)
Fe (0.0000, 0.7490, 0.5000)
Fe (0.5000, 0.2516, 0.5000)
Fe (0.5000, 0.7490, 0.5000)
O (0.0000, 0.0014, 0.5000)
O (0.0000, 0.4993, 0.5000)
O (0.0000, 0.5039, 0.0000)
O (0.0000, 0.9968, 0.0000)
O (0.0018, 0.2534, 0.7481)
O (0.0019, 0.7471, 0.7531)
O (0.2489, 0.2532, 0.5017)
O (0.2503, 0.7473, 0.5017)
O (0.2505, 0.7469, 0.9977)
O (0.2535, 0.2534, 0.9982)
O (0.4981, 0.2535, 0.7531)
O (0.4980, 0.7470, 0.7531)
O (0.5000, 0.9998, 0.0000)
O (0.5000, 0.0000, 0.5000)
O (0.5000, 0.5008, 0.0000)
O (0.5000, 0.5005, 0.5000)
O (0.5019, 0.2535, 0.2469)
O (0.5020, 0.7470, 0.2469)
O (0.7465, 0.2534, 0.0018)
O (0.7495, 0.7469, 0.0023)
O (0.7497, 0.7473, 0.4983)
O (0.7511, 0.2532, 0.4983)
O (0.9982, 0.2534, 0.2519)
O (0.9981, 0.7471, 0.2469)

Top 10 peaks for 10° ≤ 2θ ≤ 90°, by intensity:
2θ 32.56, rel. 100
2θ 46.75, rel. 27
2θ 58.07, rel. 25
2θ 68.16, rel. 15
2θ 46.61, rel. 14
2θ 58.13, rel. 12
2θ 40.16, rel. 12
2θ 77.70, rel. 10
2θ 68.27, rel. 8
2θ 86.72, rel. 8

---

4.
This entry pairs a crystal structure of Li7CoO3F3 with its computed powder X-ray diffraction pattern. Radiation: Cu Kα X-rays. Structure: a crystal structure in the Materials Project, relaxed with PBE+U.

Cell and atoms:
Lattice parameters (Å, degrees): 5.2897 5.6806 5.7603 64.94 69.10 62.48
Fractional coordinates of all 14 atoms:
Li (0.0000, 0.0000, 0.0000)
Li (0.0677, 0.7445, 0.7428)
Li (0.1514, 0.6203, 0.3651)
Li (0.3377, 0.3072, 0.0359)
Li (0.4395, 0.0858, 0.7056)
Li (0.6683, 0.6365, 0.9660)
Li (0.9318, 0.1708, 0.3535)
Co (0.6101, 0.7728, 0.3616)
O (0.3256, 0.9369, 0.1283)
O (0.7777, 0.8160, 0.5844)
O (0.9758, 0.6071, 0.1210)
F (0.1181, 0.0847, 0.6353)
F (0.4029, 0.4567, 0.6321)
F (0.6655, 0.2791, 0.1132)

Top 10 peaks for 10° ≤ 2θ ≤ 90°, by intensity:
2θ 35.36, rel. 100
2θ 35.24, rel. 91
2θ 18.54, rel. 91
2θ 17.35, rel. 85
2θ 23.29, rel. 65
2θ 21.10, rel. 53
2θ 40.33, rel. 52
2θ 46.40, rel. 52
2θ 19.31, rel. 51
2θ 20.50, rel. 49

---

5.
This entry pairs a crystal structure of La2MgFe2W2O12 with its computed powder X-ray diffraction pattern. Radiation: Cu Kα X-rays. Structure: a crystal structure in the Materials Project, relaxed with PBE+U.

Cell and atoms:
Lattice parameters (Å, degrees): 5.4780 5.6820 7.8846 89.69 89.93 88.50
Fractional coordinates of all 19 atoms:
La (0.0000, 0.0000, 0.0000)
La (0.4968, 0.6097, 0.5027)
Mg (0.0184, 0.1041, 0.5273)
Fe (0.0081, 0.5542, 0.2442)
Fe (0.5153, 0.0620, 0.7493)
W (0.0042, 0.5439, 0.7512)
W (0.5165, 0.0752, 0.2480)
O (0.0829, 0.5725, 0.9824)
O (0.1974, 0.8482, 0.6890)
O (0.2227, 0.8962, 0.3168)
O (0.2908, 0.3220, 0.6834)
O (0.3204, 0.3527, 0.2969)
O (0.4274, 0.0679, 0.0081)
O (0.6323, 0.0480, 0.4917)
O (0.7077, 0.7860, 0.2170)
O (0.7090, 0.7602, 0.7743)
O (0.7996, 0.2517, 0.2026)
O (0.8214, 0.2383, 0.7841)
O (0.9236, 0.5026, 0.5076)

Top 10 peaks for 10° ≤ 2θ ≤ 90°, by intensity:
2θ 32.32, rel. 100
2θ 19.74, rel. 91
2θ 19.26, rel. 85
2θ 31.97, rel. 55
2θ 31.82, rel. 54
2θ 31.50, rel. 50
2θ 32.71, rel. 50
2θ 46.05, rel. 30
2θ 37.94, rel. 30
2θ 45.41, rel. 27

---

6.
This entry pairs a crystal structure of NiP2O7 with its computed powder X-ray diffraction pattern. Radiation: Cu Kα X-rays. Structure: a crystal structure in the Materials Project, relaxed with PBE+U.

Cell and atoms:
Lattice parameters (Å, degrees): 6.9970 8.2923 9.7107 90.00 107.58 90.00
Fractional coordinates of all 40 atoms:
Ni (0.2234, 0.2296, 0.0059)
Ni (0.2234, 0.2704, 0.5059)
Ni (0.7766, 0.7296, 0.4941)
Ni (0.7766, 0.7704, 0.9941)
P (0.0400, 0.5814, 0.2918)
P (0.0400, 0.9186, 0.7918)
P (0.4387, 0.0331, 0.7919)
P (0.4387, 0.4669, 0.2919)
P (0.5613, 0.5331, 0.7081)
P (0.5613, 0.9669, 0.2081)
P (0.9600, 0.0814, 0.2082)
P (0.9600, 0.4186, 0.7082)
O (0.0010, 0.7209, 0.3848)
O (0.0010, 0.7791, 0.8848)
O (0.0290, 0.0782, 0.8669)
O (0.0290, 0.4218, 0.3669)
O (0.1012, 0.0943, 0.3603)
O (0.1012, 0.4057, 0.8603)
O (0.2678, 0.6001, 0.2869)
O (0.2678, 0.8999, 0.7869)
O (0.3633, 0.0538, 0.1486)
O (0.3633, 0.4462, 0.6486)
O (0.4024, 0.1061, 0.6430)
O (0.4024, 0.3939, 0.1430)
O (0.4285, 0.1743, 0.8932)
O (0.4285, 0.3257, 0.3932)
O (0.5715, 0.6743, 0.6068)
O (0.5715, 0.8257, 0.1068)
O (0.5976, 0.6061, 0.8570)
O (0.5976, 0.8939, 0.3570)
O (0.6367, 0.5538, 0.3514)
O (0.6367, 0.9462, 0.8514)
O (0.7322, 0.1001, 0.2131)
O (0.7322, 0.3999, 0.7131)
O (0.8988, 0.5943, 0.1397)
O (0.8988, 0.9057, 0.6397)
O (0.9710, 0.5782, 0.6331)
O (0.9710, 0.9218, 0.1331)
O (0.9990, 0.2209, 0.1152)
O (0.9990, 0.2791, 0.6152)

Top 10 peaks for 10° ≤ 2θ ≤ 90°, by intensity:
2θ 17.06, rel. 100
2θ 28.91, rel. 64
2θ 14.34, rel. 39
2θ 27.85, rel. 39
2θ 28.69, rel. 34
2θ 22.52, rel. 29
2θ 28.52, rel. 19
2θ 34.51, rel. 17
2θ 40.84, rel. 14
2θ 42.36, rel. 14